1.
This entry pairs a crystal structure of RbLaS2 with its computed XRD peak list. Radiation: Cu Kα (weighted mean of Kα1 and Kα2). Structure: a structure optimized by DFT (PBE).

Cell and atoms:
```
data_RbLaS2
_chemical_formula_sum 'Rb3 La3 S6'
_cell_length_a 4.3263
_cell_length_b 4.3263
_cell_length_c 23.0435
_cell_angle_alpha 90.00
_cell_angle_beta 90.00
_cell_angle_gamma 120.00
_symmetry_space_group_name_H-M 'R -3 m'
_symmetry_Int_Tables_number 166
_symmetry_space_group_name_Hall '-R 3 2"'
loop_
_atom_site_label
_atom_site_type_symbol
_atom_site_fract_x
_atom_site_fract_y
_atom_site_fract_z
Rb1 Rb 0.0000 0.0000 0.0000
La1 La 0.0000 0.0000 0.5000
S1 S 0.0000 0.0000 0.2325
```

The 10 most intense peaks (2θ = 10–90°), most intense first:
hkl	d (Å)	I_rel
1 0 4	3.141	100.0
0 1 2	3.563	41.1
1 1 0	2.163	35.4
0 1 8	2.284	35.3
0 0 6	3.841	19.3
0 2 4	1.782	18.3
0 0 3	7.681	18.0
1 1 6	1.885	17.0
2 1 4	1.375	15.4
1 1 12	1.436	13.0

---

2.
This entry pairs a crystal structure of SrLaInO4 with its computed XRD peak list. Radiation: Cu Kα (weighted mean of Kα1 and Kα2). Structure: a structure optimized by DFT (PBE).

Cell and atoms:
```
data_SrLaInO4
_chemical_formula_sum 'Sr4 La4 In4 O16'
_cell_length_a 12.539
_cell_length_b 5.982
_cell_length_c 5.991
_cell_angle_alpha 90.00
_cell_angle_beta 90.00
_cell_angle_gamma 90.00
_symmetry_space_group_name_H-M 'P c a 21'
_symmetry_Int_Tables_number 29
loop_
_symmetry_equiv_pos_as_xyz
'x,y,z'
'-x,-y,z+1/2'
'-x+1/2,y,z+1/2'
'x+1/2,-y,z'
loop_
_atom_site_label
_atom_site_type_symbol
_atom_site_fract_x
_atom_site_fract_y
_atom_site_fract_z
Sr1 Sr 0.147 0.219 0.000
La1 La 0.146 0.701 0.471
In1 In 0.001 0.246 0.484
O1 O 0.030 0.471 0.764
O2 O 0.034 0.960 0.693
O3 O 0.172 0.313 0.405
O4 O 0.177 0.780 0.082
```

The 10 most intense peaks (2θ = 10–90°), most intense first:
hkl	d (Å)	I_rel
3 1 1	2.974	100.0
0 0 2	2.993	60.6
3 1 3	1.725	38.8
0 2 2	2.116	26.8
6 0 2	1.714	17.6
6 0 0	2.089	14.3
5 1 1	2.158	12.0
6 2 2	1.487	11.0
2 3 1	1.811	9.1
2 0 0	6.270	8.8

---

3.
This entry pairs a crystal structure of Ca2Si3O11 with its computed XRD peak list. Radiation: Cu Kα (weighted mean of Kα1 and Kα2). Structure: a structure optimized by DFT (PBE).

Cell and atoms:
```
data_Ca2Si3O11
_chemical_formula_sum 'Ca8 Si12 O44'
_cell_length_a 6.757
_cell_length_b 22.809
_cell_length_c 6.734
_cell_angle_alpha 90.00
_cell_angle_beta 112.11
_cell_angle_gamma 90.00
_symmetry_space_group_name_H-M 'C 1 m 1'
_symmetry_Int_Tables_number 8
loop_
_symmetry_equiv_pos_as_xyz
'x,y,z'
'x,-y,z'
'x+1/2,y+1/2,z'
'x+1/2,-y+1/2,z'
loop_
_atom_site_label
_atom_site_type_symbol
_atom_site_fract_x
_atom_site_fract_y
_atom_site_fract_z
Ca1 Ca 0.000 0.203 0.000
Ca2 Ca 0.010 0.292 0.489
Si1 Si 0.053 0.156 0.536
Si2 Si 0.331 0.430 0.166
Si3 Si 0.467 0.158 0.952
O1 O 0.003 0.402 0.497
O2 O 0.090 0.403 0.066
O3 O 0.115 0.299 0.875
O4 O 0.127 0.200 0.387
O5 O 0.174 0.000 0.832
O6 O 0.262 0.000 0.036
O7 O 0.264 0.134 0.741
O8 O 0.314 0.500 0.172
O9 O 0.382 0.195 0.111
O10 O 0.388 0.309 0.617
O11 O 0.448 0.405 0.411
O12 O 0.468 0.500 0.745
O13 O 0.475 0.403 0.038
```

The 10 most intense peaks (2θ = 10–90°), most intense first:
hkl	d (Å)	I_rel
0 0 2	3.124	100.0
0 2 2	3.013	77.0
1 7 -1	2.816	55.7
1 5 -1	3.536	47.1
1 1 -1	5.435	42.3
2 0 2	1.883	26.8
2 0 -2	2.798	25.1
1 1 0	6.036	24.2
0 2 1	5.473	23.8
0 10 0	2.281	23.6

---

4.
This entry pairs a crystal structure of Si4P4Ru with its computed XRD peak list. Radiation: Cu Kα (weighted mean of Kα1 and Kα2). Structure: a structure optimized by DFT (PBE).

Cell and atoms:
```
data_Si4P4Ru
_chemical_formula_sum 'Si4 P4 Ru1'
_cell_length_a 4.970
_cell_length_b 5.666
_cell_length_c 6.208
_cell_angle_alpha 85.59
_cell_angle_beta 68.27
_cell_angle_gamma 70.75
_symmetry_space_group_name_H-M 'P 1'
_symmetry_Int_Tables_number 1
loop_
_symmetry_equiv_pos_as_xyz
'x,y,z'
loop_
_atom_site_label
_atom_site_type_symbol
_atom_site_fract_x
_atom_site_fract_y
_atom_site_fract_z
Si1 Si 0.000 0.000 0.000
Si2 Si 0.121 0.251 0.449
Si3 Si 0.433 0.432 0.794
Si4 Si 0.607 0.629 0.257
P1 P 0.104 0.883 0.326
P2 P 0.384 0.067 0.690
P3 P 0.529 0.298 0.131
P4 P 0.922 0.671 0.886
Ru1 Ru 0.762 0.656 0.567
```

The 10 most intense peaks (2θ = 10–90°), most intense first:
hkl	d (Å)	I_rel
1 0 2	2.948	100.0
1 1 -1	2.942	50.2
2 -1 2	1.832	38.9
0 1 -3	1.838	31.4
0 1 0	5.342	26.2
0 0 1	5.759	22.3
1 1 1	3.954	20.3
0 3 0	1.782	13.6
0 2 1	2.377	13.2
1 1 0	4.096	12.2

---

5.
This entry pairs a crystal structure of YMgNi4 with its computed XRD peak list. Radiation: Cu Kα (weighted mean of Kα1 and Kα2). Structure: a structure optimized by DFT (PBE).

Cell and atoms:
```
data_YMgNi4
_chemical_formula_sum 'Y4 Mg4 Ni16'
_cell_length_a 6.981
_cell_length_b 6.981
_cell_length_c 6.981
_cell_angle_alpha 90.00
_cell_angle_beta 90.00
_cell_angle_gamma 90.00
_symmetry_space_group_name_H-M 'F -4 3 m'
_symmetry_Int_Tables_number 216
_symmetry_space_group_name_Hall 'F -4 2 3'
loop_
_atom_site_label
_atom_site_type_symbol
_atom_site_fract_x
_atom_site_fract_y
_atom_site_fract_z
Y1 Y 0.000 0.000 0.000
Mg1 Mg 0.250 0.250 0.250
Ni1 Ni 0.124 0.124 0.624
```

The 10 most intense peaks (2θ = 10–90°), most intense first:
hkl	d (Å)	I_rel
3 1 1	2.105	100.0
2 2 2	2.015	44.3
5 1 1	1.344	28.8
4 4 0	1.234	23.7
2 2 0	2.468	23.1
1 1 1	4.031	17.9
2 0 0	3.491	10.1
4 2 2	1.425	7.8
4 0 0	1.745	5.8
3 3 1	1.602	3.9

---

6.
This entry pairs a crystal structure of ErMnNi4 with its computed XRD peak list. Radiation: Cu Kα (weighted mean of Kα1 and Kα2). Structure: a structure optimized by DFT (PBE).

Cell and atoms:
```
data_ErMnNi4
_chemical_formula_sum 'Er4 Mn4 Ni16'
_cell_length_a 6.892
_cell_length_b 6.892
_cell_length_c 6.892
_cell_angle_alpha 90.00
_cell_angle_beta 90.00
_cell_angle_gamma 90.00
_symmetry_space_group_name_H-M 'F -4 3 m'
_symmetry_Int_Tables_number 216
_symmetry_space_group_name_Hall 'F -4 2 3'
loop_
_atom_site_label
_atom_site_type_symbol
_atom_site_fract_x
_atom_site_fract_y
_atom_site_fract_z
Er1 Er 0.000 0.000 0.000
Mn1 Mn 0.250 0.250 0.750
Ni1 Ni 0.124 0.124 0.376
```

The 10 most intense peaks (2θ = 10–90°), most intense first:
hkl	d (Å)	I_rel
3 1 1	2.078	100.0
2 2 0	2.437	44.7
5 1 1	1.326	29.6
2 2 2	1.990	26.3
4 4 0	1.218	21.3
4 2 2	1.407	15.5
2 0 0	3.446	14.1
1 1 1	3.979	13.3
4 2 0	1.541	5.4
3 3 1	1.581	3.8